This entry pairs a crystal structure of PrNdZn2 with its simulated PXRD pattern. Radiation: λ = 1.5418 Å (Cu Kα). Structure: a cell relaxed with GGA-PBE.

Unit cell a=7.4086 b=7.4086 c=7.4086 alpha=90.00 beta=90.00 gamma=90.00
Fractional positions:
Pr1 0.0000 0.0000 0.0000
Pr2 0.0000 0.5000 0.5000
Pr3 0.5000 0.0000 0.5000
Pr4 0.5000 0.5000 0.0000
Nd1 0.0000 0.0000 0.5000
Nd2 0.0000 0.5000 0.0000
Nd3 0.5000 0.0000 0.0000
Nd4 0.5000 0.5000 0.5000
Zn1 0.2500 0.2500 0.2500
Zn2 0.2500 0.2500 0.7500
Zn3 0.2500 0.7500 0.2500
Zn4 0.2500 0.7500 0.7500
Zn5 0.7500 0.2500 0.2500
Zn6 0.7500 0.2500 0.7500
Zn7 0.7500 0.7500 0.2500
Zn8 0.7500 0.7500 0.7500

The 10 most intense peaks (10 to 90 degrees two-theta), by angle:
2θ/deg  I_rel
24.02  137
34.23  1000
42.26  42
49.19  178
55.47  58
61.30  362
72.12  110
77.27  29
82.31  154
87.30  18

=====

This entry pairs a crystal structure of Cd4Te3Se with its simulated PXRD pattern. Radiation: λ = 1.5418 Å (Cu Kα). Structure: a cell relaxed with GGA-PBE.

Unit cell a=15.2767 b=15.2767 c=15.2767 alpha=17.40 beta=17.40 gamma=17.40
Fractional positions:
Cd1 0.0000 0.0000 0.0000
Cd2 0.2475 0.2475 0.2475
Cd3 0.4954 0.4954 0.4954
Cd4 0.7431 0.7431 0.7431
Te1 0.1841 0.1841 0.1841
Te2 0.4320 0.4320 0.4320
Te3 0.9364 0.9364 0.9364
Se1 0.6833 0.6833 0.6833

The 10 most intense peaks (10 to 90 degrees two-theta), by angle:
2θ/deg  I_rel
23.60  1000
38.97  402
39.07  381
46.08  363
46.18  114
56.36  127
61.87  99
70.62  194
75.64  104
88.50  74

=====

This entry pairs a crystal structure of Na2Zn2O3 with its simulated PXRD pattern. Radiation: λ = 1.5418 Å (Cu Kα). Structure: a cell relaxed with GGA-PBE.

Unit cell a=6.2636 b=6.2636 c=9.5442 alpha=90.00 beta=90.00 gamma=90.00
Fractional positions:
Na1 0.0338 0.2463 0.3553
Na2 0.2463 0.0338 0.6447
Na3 0.2537 0.5338 0.1053
Na4 0.4662 0.7463 0.3947
Na5 0.5338 0.2537 0.8947
Na6 0.7463 0.4662 0.6053
Na7 0.7537 0.9662 0.1447
Na8 0.9662 0.7537 0.8553
Zn1 0.0443 0.2432 0.8852
Zn2 0.2432 0.0443 0.1148
Zn3 0.2568 0.5443 0.6352
Zn4 0.4557 0.7432 0.8648
Zn5 0.5443 0.2568 0.3648
Zn6 0.7432 0.4557 0.1352
Zn7 0.7568 0.9557 0.6148
Zn8 0.9557 0.7568 0.3852
O1 0.0144 0.7417 0.5917
O2 0.1769 0.8231 0.2500
O3 0.2417 0.4856 0.8417
O4 0.2583 0.9856 0.9083
O5 0.3231 0.3231 0.5000
O6 0.4856 0.2417 0.1583
O7 0.5144 0.7583 0.6583
O8 0.6769 0.6769 0.0000
O9 0.7417 0.0144 0.4083
O10 0.7583 0.5144 0.3417
O11 0.8231 0.1769 0.7500
O12 0.9856 0.2583 0.0917

The 10 most intense peaks (10 to 90 degrees two-theta), by angle:
2θ/deg  I_rel
16.93  211
22.13  820
34.25  1000
37.22  175
37.70  314
40.74  522
56.71  332
58.99  123
65.85  139
70.01  114

=====

This entry pairs a crystal structure of Li3CeBi2 with its simulated PXRD pattern. Radiation: λ = 1.5418 Å (Cu Kα). Structure: a cell relaxed with GGA-PBE.

Unit cell a=4.7252 b=4.7252 c=7.5017 alpha=90.00 beta=90.00 gamma=120.00
Fractional positions:
Li1 0.0000 0.0000 0.0000
Li2 0.3333 0.6667 0.8507
Li3 0.6667 0.3333 0.1493
Ce1 0.0000 0.0000 0.5000
Bi1 0.3333 0.6667 0.2479
Bi2 0.6667 0.3333 0.7521

The 10 most intense peaks (10 to 90 degrees two-theta), by angle:
2θ/deg  I_rel
24.78  1000
32.38  449
38.09  378
42.36  254
45.98  199
50.83  128
61.18  173
63.31  164
65.25  123
71.76  111